Starting from DFT lattice parameters and positions (GGA-PBE), the X-ray powder pattern of Pm12Co6Pt was calculated for Cu Kα.

Cell and atoms:
Lattice parameters (Å, degrees): 9.8028 9.8028 9.8028 90.00 90.00 90.00
Space group Im-3 (No. 204)
Symmetry-distinct sites (fractional):
Pm  0.0000  0.1915  0.3004 (multiplicity 24)
Co  0.0000  0.3864  0.5000 (multiplicity 12)
Pt  0.0000  0.0000  0.0000 (multiplicity 2)

Main lines, in order of rising 2θ (15 to 90 degrees two-theta):
2theta  I/Imax  hkl
28.80  42  3 1 0
31.62  55  2 2 2
34.23  100  3 2 1
47.28  23  5 1 0
54.59  35  5 0 3
58.00  37  5 3 2